Record 1
Diffraction record for Li7Cd2Pb3. The PXRD pattern is calculated, not measured: it uses a DFT-relaxed cell (GGA-PBE, Alexandria) and λ = 1.5418 Å (Cu Kα).

Peak list (8 most intense, 2θ = 10–90°, by angle)
- 2θ 19.07, intensity 28, (1 1 0)
- 2θ 23.70, intensity 63, (0 6 0)
- 2θ 26.79, intensity 100, (1 1 1)
- 2θ 29.08, intensity 46, (1 3 1)
- 2θ 37.81, intensity 53, (2 0 0)
- 2θ 38.72, intensity 75, (1 7 1)
- 2θ 45.12, intensity 53, (2 6 0)
- 2θ 68.88, intensity 28, (3 7 1)

Structural model:
```
data_Li7Cd2Pb3
_symmetry_space_group_name_H-M 'C m m m'
_symmetry_Int_Tables_number 65
_symmetry_space_group_name_Hall '-C 2 2'
_cell_length_a 4.7553
_cell_length_b 22.5244
_cell_length_c 4.7621
_cell_angle_alpha 90.00
_cell_angle_beta 90.00
_cell_angle_gamma 90.00
loop_
_atom_site_label
_atom_site_type_symbol
_atom_site_fract_x
_atom_site_fract_y
_atom_site_fract_z
Li1 Li 0.0000 0.0000 0.0000
Li2 Li 0.0000 0.0723 0.5000
Li3 Li 0.0000 0.2769 0.0000
Li4 Li 0.0000 0.4246 0.0000
Cd1 Cd 0.0000 0.1465 0.0000
Pb1 Pb 0.0000 0.3400 0.5000
Pb2 Pb 0.0000 0.5000 0.5000
```

***

Record 2
Diffraction record for Li6Cd3Pb2. The PXRD pattern is calculated, not measured: it uses a DFT-relaxed cell (GGA-PBE, Alexandria) and λ = 1.5418 Å (Cu Kα).

Peak list (8 most intense, 2θ = 10–90°, by angle)
- 2θ 18.31, intensity 65, (0 0 2)
- 2θ 21.09, intensity 100, (1 0 -2)
- 2θ 25.78, intensity 52, (2 0 1)
- 2θ 29.26, intensity 30, (0 1 0)
- 2θ 30.74, intensity 36, (1 0 3)
- 2θ 37.16, intensity 51, (1 1 2)
- 2θ 37.81, intensity 70, (2 1 0)
- 2θ 38.24, intensity 32, (1 0 -4)

Structural model:
```
data_Li6Cd3Pb2
_symmetry_space_group_name_H-M 'P 1 2/m 1'
_symmetry_Int_Tables_number 10
_cell_length_a 7.6023
_cell_length_b 3.0524
_cell_length_c 9.7129
_cell_angle_alpha 90.00
_cell_angle_beta 93.78
_cell_angle_gamma 90.00
loop_
_symmetry_equiv_pos_as_xyz
'x,y,z'
'-x,-y,-z'
'-x,y,-z'
'x,-y,z'
loop_
_atom_site_label
_atom_site_type_symbol
_atom_site_fract_x
_atom_site_fract_y
_atom_site_fract_z
Li1 Li 0.0653 0.0000 0.3070
Li2 Li 0.3184 0.0000 0.8378
Li3 Li 0.4284 0.0000 0.3620
Cd1 Cd 0.0000 0.0000 0.0000
Cd2 Cd 0.3383 0.5000 0.1107
Pb1 Pb 0.2305 0.5000 0.5669
```

***

Record 3
Diffraction record for Li5Cd3Pb4. The PXRD pattern is calculated, not measured: it uses a DFT-relaxed cell (GGA-PBE, Alexandria) and λ = 1.5418 Å (Cu Kα).

Peak list (8 most intense, 2θ = 10–90°, by angle)
- 2θ 18.17, intensity 75, (1 0 -1)
- 2θ 29.02, intensity 70, (2 -1 0)
- 2θ 32.69, intensity 100, (2 -1 1)
- 2θ 33.30, intensity 75, (0 2 1)
- 2θ 35.94, intensity 82, (0 2 -2)
- 2θ 37.36, intensity 75, (-2 1 2)
- 2θ 37.58, intensity 67, (2 1 -1)
- 2θ 38.64, intensity 59, (0 0 3)

Structural model:
```
data_Li5Cd3Pb4
_symmetry_space_group_name_H-M 'P -1'
_symmetry_Int_Tables_number 2
_cell_length_a 6.2840
_cell_length_b 6.5547
_cell_length_c 7.1018
_cell_angle_alpha 95.89
_cell_angle_beta 96.07
_cell_angle_gamma 107.60
loop_
_symmetry_equiv_pos_as_xyz
'x,y,z'
'-x,-y,-z'
loop_
_atom_site_label
_atom_site_type_symbol
_atom_site_fract_x
_atom_site_fract_y
_atom_site_fract_z
Li1 Li 0.0000 0.0000 0.0000
Li2 Li 0.2680 0.5306 0.0313
Li3 Li 0.4823 0.3131 0.3361
Cd1 Cd 0.2414 0.8647 0.3374
Cd2 Cd 0.5000 0.0000 0.0000
Pb1 Pb 0.0305 0.6712 0.6909
Pb2 Pb 0.2862 0.2262 0.6992
```